For Rb3SrNp2Te6, a PBE-relaxed structure gives the computed powder diffraction line list in this record (Cu Kα (λ = 1.5418 Å)).
Intensities are scaled so that the largest is 100.

Atomic structure:
```
Rb3SrNp2Te6
1.0
4.037 -6.994 0.000
4.037 6.994 0.000
-2.698 0.000 8.519
Rb Sr Np Te
3 1 2 6
Direct
0.000 0.000 0.000
0.339 0.661 0.000
0.661 0.339 0.000
0.500 0.500 0.500
0.167 0.833 0.500
0.833 0.167 0.500
0.077 0.432 0.298
0.212 0.212 0.700
0.432 0.077 0.298
0.568 0.923 0.702
0.788 0.788 0.300
0.923 0.568 0.702
```

Peak list (12 most intense, 2θ from 10° to 90°, by intensity)
- d = 3.413 Å, I = 100
- d = 2.331 Å, I = 37
- d = 2.505 Å, I = 34
- d = 8.519 Å, I = 31
- d = 1.925 Å, I = 19
- d = 1.484 Å, I = 18
- d = 2.708 Å, I = 16
- d = 1.377 Å, I = 14
- d = 1.572 Å, I = 11
- d = 1.707 Å, I = 10
- d = 2.014 Å, I = 10
- d = 2.248 Å, I = 8

For Pm3ThAs3, a PBE-relaxed structure gives the computed powder diffraction line list in this record (Cu Kα (λ = 1.5418 Å)).
Intensities are scaled so that the largest is 100.

Atomic structure:
```
Pm3ThAs3
1.0
8.980 0.000 0.000
0.000 8.980 0.000
0.000 0.000 8.980
Pm Th As
12 4 12
Direct
0.065 0.435 0.565
0.183 0.183 0.183
0.185 0.815 0.315
0.315 0.185 0.815
0.317 0.817 0.683
0.435 0.565 0.065
0.565 0.065 0.435
0.683 0.317 0.817
0.685 0.685 0.685
0.815 0.315 0.185
0.817 0.683 0.317
0.935 0.935 0.935
0.068 0.568 0.932
0.432 0.432 0.432
0.568 0.932 0.068
0.932 0.068 0.568
0.001 0.751 0.625
0.125 0.499 0.249
0.249 0.125 0.499
0.251 0.875 0.999
0.375 0.501 0.749
0.499 0.249 0.125
0.501 0.749 0.375
0.625 0.001 0.751
0.749 0.375 0.501
0.751 0.625 0.001
0.875 0.999 0.251
0.999 0.251 0.875
```

Peak list (12 most intense, 2θ from 10° to 90°, by intensity)
- d = 2.840 Å, I = 100
- d = 2.400 Å, I = 63
- d = 1.761 Å, I = 35
- d = 1.457 Å, I = 22
- d = 1.833 Å, I = 20
- d = 3.175 Å, I = 16
- d = 1.386 Å, I = 15
- d = 1.222 Å, I = 14
- d = 3.666 Å, I = 14
- d = 1.420 Å, I = 12
- d = 1.915 Å, I = 8
- d = 1.140 Å, I = 8

For Ce2DyGa6, a PBE-relaxed structure gives the computed powder diffraction line list in this record (Cu Kα (λ = 1.5418 Å)).
Intensities are scaled so that the largest is 100.

Atomic structure:
```
Ce2DyGa6
1.0
7.376 0.000 0.000
-3.688 6.388 0.000
0.000 0.000 4.155
Ce Dy Ga
2 1 6
Direct
0.333 0.667 0.000
0.667 0.333 0.000
0.000 0.000 0.000
0.000 0.333 0.500
0.000 0.667 0.500
0.333 0.000 0.500
0.333 0.333 0.500
0.667 0.000 0.500
0.667 0.667 0.500
```

Peak list (12 most intense, 2θ from 10° to 90°, by intensity)
- d = 2.758 Å, I = 100
- d = 2.129 Å, I = 42
- d = 1.487 Å, I = 26
- d = 1.685 Å, I = 23
- d = 1.322 Å, I = 20
- d = 2.077 Å, I = 13
- d = 3.688 Å, I = 12
- d = 1.297 Å, I = 9
- d = 1.229 Å, I = 7
- d = 1.107 Å, I = 6
- d = 1.810 Å, I = 3
- d = 1.844 Å, I = 2

For CaGa2Br6, a PBE-relaxed structure gives the computed powder diffraction line list in this record (Cu Kα (λ = 1.5418 Å)).
Intensities are scaled so that the largest is 100.

Atomic structure:
```
CaGa2Br6
1.0
7.665 -6.087 0.000
7.665 6.087 0.000
-1.180 0.000 7.005
Ca Ga Br
2 4 12
Direct
0.070 0.930 0.750
0.930 0.070 0.250
0.343 0.496 0.743
0.496 0.343 0.243
0.504 0.657 0.757
0.657 0.504 0.257
0.025 0.196 0.611
0.130 0.615 0.864
0.196 0.025 0.111
0.274 0.409 0.402
0.385 0.870 0.636
0.409 0.274 0.902
0.591 0.726 0.098
0.615 0.130 0.364
0.726 0.591 0.598
0.804 0.975 0.889
0.870 0.385 0.136
0.975 0.804 0.389
```

Peak list (12 most intense, 2θ from 10° to 90°, by intensity)
- d = 2.998 Å, I = 100
- d = 3.779 Å, I = 45
- d = 3.359 Å, I = 33
- d = 2.045 Å, I = 30
- d = 3.485 Å, I = 18
- d = 3.401 Å, I = 17
- d = 5.937 Å, I = 17
- d = 2.029 Å, I = 16
- d = 1.967 Å, I = 16
- d = 3.089 Å, I = 16
- d = 6.087 Å, I = 13
- d = 1.680 Å, I = 12